[1]
Li4V3Fe2O10: simulated X-ray powder pattern (copper Kα), based on a PBE+U-relaxed structure.
Neutral-atom scattering factors, no anomalous dispersion.

Principal peaks in the range 2θ = 10–80°, most intense first:
d 4.882, 18.17 deg, I 100.0; d 2.126, 42.53 deg, I 42.6; d 2.148, 42.07 deg, I 42.1; d 2.081, 43.48 deg, I 40.6; d 7.222, 12.26 deg, I 33.3; d 1.487, 62.45 deg, I 22.0; d 3.973, 22.37 deg, I 19.0; d 3.377, 26.39 deg, I 13.8; d 3.414, 26.10 deg, I 12.2; d 1.509, 61.45 deg, I 11.8; d 1.513, 61.26 deg, I 11.4; d 2.449, 36.70 deg, I 11.3

Crystal structure
```
data_Li4V3Fe2O10
_symmetry_space_group_name_H-M 'P 1'
_symmetry_Int_Tables_number 1
_cell_length_a 5.154
_cell_length_b 5.199
_cell_length_c 7.942
_cell_angle_alpha 108.99
_cell_angle_beta 101.14
_cell_angle_gamma 100.86
loop_
_symmetry_equiv_pos_as_xyz
'x,y,z'
loop_
_atom_site_label
_atom_site_fract_x
_atom_site_fract_y
_atom_site_fract_z
_atom_site_occupancy
Li1 0.000 0.000 0.000 1
Li2 0.113 0.239 0.721 1
Li3 0.300 0.611 0.085 1
Li4 0.722 0.457 0.921 1
V1 0.186 0.405 0.379 1
V2 0.499 0.014 0.490 1
V3 0.804 0.628 0.601 1
Fe1 0.397 0.827 0.806 1
Fe2 0.596 0.209 0.177 1
O1 0.041 0.626 0.828 1
O2 0.177 0.795 0.548 1
O3 0.281 0.048 0.264 1
O4 0.371 0.215 0.950 1
O5 0.431 0.414 0.623 1
O6 0.529 0.599 0.353 1
O7 0.627 0.833 0.030 1
O8 0.733 0.001 0.720 1
O9 0.837 0.246 0.443 1
O10 0.971 0.398 0.168 1
```

[2]
Li3Co2O5: simulated X-ray powder pattern (copper Kα), based on a PBE+U-relaxed structure.
Neutral-atom scattering factors, no anomalous dispersion.

Principal peaks in the range 2θ = 10–80°, most intense first:
d 4.839, 18.33 deg, I 100.0; d 2.156, 41.91 deg, I 32.0; d 2.059, 43.98 deg, I 25.9; d 2.033, 44.56 deg, I 25.4; d 2.570, 34.91 deg, I 16.1; d 2.486, 36.13 deg, I 13.1; d 2.451, 36.67 deg, I 10.4; d 1.486, 62.49 deg, I 8.4; d 2.406, 37.38 deg, I 7.7; d 1.470, 63.28 deg, I 7.7; d 1.489, 62.37 deg, I 7.7; d 1.491, 62.26 deg, I 7.5

Crystal structure
```
data_Li3Co2O5
_symmetry_space_group_name_H-M 'P 1'
_symmetry_Int_Tables_number 1
_cell_length_a 2.944
_cell_length_b 6.525
_cell_length_c 9.830
_cell_angle_alpha 78.64
_cell_angle_beta 86.71
_cell_angle_gamma 77.18
loop_
_symmetry_equiv_pos_as_xyz
'x,y,z'
loop_
_atom_site_label
_atom_site_fract_x
_atom_site_fract_y
_atom_site_fract_z
_atom_site_occupancy
Li1 0.000 0.000 0.000 1
Li2 0.087 0.807 0.297 1
Li3 0.305 0.392 0.902 1
Li4 0.500 0.000 0.500 1
Li5 0.695 0.608 0.098 1
Li6 0.913 0.193 0.703 1
Co1 0.206 0.601 0.602 1
Co2 0.404 0.187 0.193 1
Co3 0.596 0.813 0.807 1
Co4 0.794 0.399 0.398 1
O1 0.038 0.885 0.662 1
O2 0.174 0.706 0.936 1
O3 0.243 0.480 0.255 1
O4 0.359 0.311 0.540 1
O5 0.460 0.076 0.844 1
O6 0.540 0.924 0.156 1
O7 0.641 0.689 0.460 1
O8 0.757 0.520 0.745 1
O9 0.826 0.294 0.064 1
O10 0.962 0.115 0.338 1
```

[3]
Li2CoCSO7: simulated X-ray powder pattern (copper Kα), based on a PBE+U-relaxed structure.
Neutral-atom scattering factors, no anomalous dispersion.

Principal peaks in the range 2θ = 10–80°, most intense first:
d 8.749, 10.11 deg, I 100.0; d 3.224, 27.67 deg, I 61.3; d 3.433, 25.95 deg, I 38.8; d 5.190, 17.08 deg, I 32.6; d 4.194, 21.19 deg, I 30.7; d 4.500, 19.73 deg, I 28.8; d 3.166, 28.19 deg, I 17.2; d 1.612, 57.14 deg, I 16.1; d 2.277, 39.58 deg, I 14.9; d 2.498, 35.95 deg, I 13.3; d 3.949, 22.51 deg, I 13.2; d 3.516, 25.33 deg, I 12.8

Crystal structure
```
data_Li2CoCSO7
_symmetry_space_group_name_H-M 'P 1'
_symmetry_Int_Tables_number 1
_cell_length_a 6.448
_cell_length_b 8.778
_cell_length_c 10.026
_cell_angle_alpha 94.69
_cell_angle_beta 90.04
_cell_angle_gamma 90.13
loop_
_symmetry_equiv_pos_as_xyz
'x,y,z'
loop_
_atom_site_label
_atom_site_fract_x
_atom_site_fract_y
_atom_site_fract_z
_atom_site_occupancy
Li1 0.000 0.000 0.000 1
Li2 0.001 0.000 0.499 1
Li3 0.036 0.382 0.282 1
Li4 0.038 0.383 0.783 1
Li5 0.500 0.382 0.283 1
Li6 0.502 0.382 0.784 1
Li7 0.537 0.001 0.001 1
Li8 0.537 0.001 0.500 1
Co1 0.271 0.542 0.506 1
Co2 0.273 0.544 0.005 1
Co3 0.769 0.840 0.777 1
Co4 0.771 0.840 0.277 1
C1 0.268 0.257 0.024 1
C2 0.268 0.257 0.525 1
C3 0.768 0.125 0.258 1
C4 0.769 0.125 0.757 1
S1 0.268 0.775 0.760 1
S2 0.269 0.776 0.260 1
S3 0.769 0.607 0.524 1
S4 0.770 0.608 0.024 1
O1 0.085 0.865 0.809 1
O2 0.086 0.865 0.311 1
O3 0.262 0.359 0.129 1
O4 0.265 0.359 0.629 1
O5 0.265 0.758 0.110 1
O6 0.267 0.619 0.809 1
O7 0.268 0.114 0.037 1
O8 0.269 0.114 0.537 1
O9 0.269 0.757 0.610 1
O10 0.270 0.620 0.309 1
O11 0.271 0.315 0.408 1
O12 0.274 0.314 0.908 1
O13 0.453 0.863 0.810 1
O14 0.454 0.865 0.308 1
O15 0.585 0.517 0.474 1
O16 0.586 0.518 0.973 1
O17 0.764 0.023 0.153 1
O18 0.766 0.023 0.653 1
O19 0.767 0.269 0.246 1
O20 0.767 0.625 0.673 1
O21 0.769 0.269 0.746 1
O22 0.769 0.625 0.174 1
O23 0.769 0.762 0.474 1
O24 0.769 0.763 0.975 1
O25 0.770 0.067 0.874 1
O26 0.772 0.068 0.374 1
O27 0.953 0.518 0.475 1
O28 0.955 0.520 0.975 1
```

[4]
Mn12O7F17: simulated X-ray powder pattern (copper Kα), based on a PBE+U-relaxed structure.
Neutral-atom scattering factors, no anomalous dispersion.

Principal peaks in the range 2θ = 10–80°, most intense first:
d 2.960, 30.20 deg, I 100.0; d 3.107, 28.74 deg, I 61.5; d 3.816, 23.31 deg, I 55.9; d 3.082, 28.98 deg, I 53.4; d 3.572, 24.93 deg, I 44.7; d 1.498, 61.93 deg, I 29.1; d 1.772, 51.58 deg, I 27.0; d 1.777, 51.42 deg, I 25.2; d 1.790, 51.02 deg, I 22.7; d 2.309, 39.02 deg, I 20.6; d 1.800, 50.73 deg, I 20.5; d 2.182, 41.37 deg, I 20.0

Crystal structure
```
data_Mn12O7F17
_symmetry_space_group_name_H-M 'P 1'
_symmetry_Int_Tables_number 1
_cell_length_a 4.800
_cell_length_b 5.794
_cell_length_c 15.855
_cell_angle_alpha 89.46
_cell_angle_beta 89.79
_cell_angle_gamma 86.14
loop_
_symmetry_equiv_pos_as_xyz
'x,y,z'
loop_
_atom_site_label
_atom_site_fract_x
_atom_site_fract_y
_atom_site_fract_z
_atom_site_occupancy
Mn1 0.000 0.000 0.000 1
Mn2 0.003 0.328 0.168 1
Mn3 0.006 0.024 0.672 1
Mn4 0.477 0.848 0.514 1
Mn5 0.492 0.533 0.998 1
Mn6 0.497 0.517 0.671 1
Mn7 0.501 0.822 0.844 1
Mn8 0.506 0.525 0.338 1
Mn9 0.516 0.866 0.185 1
Mn10 0.965 0.348 0.832 1
Mn11 0.980 0.341 0.492 1
Mn12 0.986 0.023 0.331 1
O1 0.276 0.788 0.625 1
O2 0.285 0.786 0.945 1
O3 0.289 0.796 0.285 1
O4 0.716 0.572 0.897 1
O5 0.767 0.288 0.384 1
O6 0.781 0.294 0.721 1
O7 0.796 0.067 0.225 1
F1 0.211 0.292 0.942 1
F2 0.216 0.055 0.437 1
F3 0.235 0.052 0.785 1
F4 0.241 0.281 0.605 1
F5 0.242 0.068 0.109 1
F6 0.260 0.300 0.277 1
F7 0.272 0.548 0.777 1
F8 0.275 0.559 0.109 1
F9 0.280 0.560 0.449 1
F10 0.731 0.560 0.567 1
F11 0.731 0.801 0.074 1
F12 0.736 0.778 0.402 1
F13 0.736 0.795 0.738 1
F14 0.747 0.562 0.230 1
F15 0.757 0.298 0.054 1
F16 0.762 0.071 0.892 1
F17 0.784 0.061 0.560 1
```

[5]
MnReC10O10: simulated X-ray powder pattern (copper Kα), based on a PBE+U-relaxed structure.
Neutral-atom scattering factors, no anomalous dispersion.

Principal peaks in the range 2θ = 10–80°, most intense first:
d 6.505, 13.61 deg, I 100.0; d 5.168, 17.16 deg, I 59.0; d 5.945, 14.90 deg, I 42.2; d 7.305, 12.12 deg, I 40.8; d 2.929, 30.52 deg, I 33.6; d 3.045, 29.33 deg, I 32.6; d 3.109, 28.72 deg, I 21.7; d 2.306, 39.05 deg, I 18.3; d 3.651, 24.38 deg, I 16.3; d 2.957, 30.23 deg, I 14.9; d 3.222, 27.68 deg, I 14.8; d 7.162, 12.36 deg, I 12.9

Crystal structure
```
data_MnReC10O10
_symmetry_space_group_name_H-M 'P 1'
_symmetry_Int_Tables_number 1
_cell_length_a 9.816
_cell_length_b 9.816
_cell_length_c 14.834
_cell_angle_alpha 123.72
_cell_angle_beta 123.72
_cell_angle_gamma 43.62
loop_
_symmetry_equiv_pos_as_xyz
'x,y,z'
loop_
_atom_site_label
_atom_site_fract_x
_atom_site_fract_y
_atom_site_fract_z
_atom_site_occupancy
Mn1 0.071 0.071 0.473 1
Mn2 0.929 0.929 0.527 1
Re1 0.397 0.464 0.027 1
Re2 0.536 0.603 0.973 1
C1 0.151 0.164 0.449 1
C2 0.196 0.499 0.876 1
C3 0.197 0.755 0.099 1
C4 0.202 0.744 0.594 1
C5 0.245 0.803 0.901 1
C6 0.256 0.798 0.406 1
C7 0.257 0.036 0.613 1
C8 0.311 0.365 0.052 1
C9 0.501 0.804 0.124 1
C10 0.546 0.394 0.825 1
C11 0.606 0.454 0.175 1
C12 0.612 0.180 0.957 1
C13 0.635 0.689 0.948 1
C14 0.666 0.131 0.462 1
C15 0.820 0.388 0.043 1
C16 0.836 0.849 0.551 1
C17 0.869 0.334 0.538 1
C18 0.875 0.079 0.335 1
C19 0.921 0.125 0.665 1
C20 0.964 0.743 0.387 1
O1 0.077 0.916 0.856 1
O2 0.078 0.522 0.789 1
O3 0.084 0.923 0.144 1
O4 0.202 0.225 0.436 1
O5 0.260 0.303 0.066 1
O6 0.369 0.630 0.361 1
O7 0.370 0.631 0.639 1
O8 0.374 0.014 0.701 1
O9 0.478 0.922 0.211 1
O10 0.501 0.257 0.422 1
O11 0.545 0.277 0.738 1
O12 0.697 0.740 0.934 1
O13 0.723 0.455 0.262 1
O14 0.738 0.015 0.918 1
O15 0.743 0.499 0.578 1
O16 0.757 0.078 0.248 1
O17 0.775 0.798 0.564 1
O18 0.922 0.243 0.752 1
O19 0.985 0.262 0.082 1
O20 0.986 0.626 0.299 1
```

[6]
FeOF: simulated X-ray powder pattern (copper Kα), based on a PBE+U-relaxed structure.
Neutral-atom scattering factors, no anomalous dispersion.

Principal peaks in the range 2θ = 10–80°, most intense first:
d 3.353, 26.58 deg, I 100.0; d 1.750, 52.29 deg, I 58.1; d 2.592, 34.60 deg, I 55.1; d 1.408, 66.40 deg, I 19.3; d 2.275, 39.62 deg, I 18.0; d 1.677, 54.75 deg, I 15.9; d 1.405, 66.54 deg, I 12.1; d 1.548, 59.75 deg, I 9.7; d 2.121, 42.62 deg, I 9.7; d 2.371, 37.94 deg, I 7.6; d 1.500, 61.87 deg, I 7.2; d 1.350, 69.66 deg, I 3.4

Crystal structure
```
data_FeOF
_symmetry_space_group_name_H-M 'P 1'
_symmetry_Int_Tables_number 1
_cell_length_a 14.227
_cell_length_b 3.095
_cell_length_c 14.228
_cell_angle_alpha 90.00
_cell_angle_beta 90.09
_cell_angle_gamma 90.00
loop_
_symmetry_equiv_pos_as_xyz
'x,y,z'
loop_
_atom_site_label
_atom_site_fract_x
_atom_site_fract_y
_atom_site_fract_z
_atom_site_occupancy
Fe1 0.000 0.000 0.000 1
Fe2 0.000 0.000 0.324 1
Fe3 0.018 0.000 0.683 1
Fe4 0.184 0.500 0.824 1
Fe5 0.192 0.500 0.499 1
Fe6 0.194 0.500 0.163 1
Fe7 0.333 0.000 0.332 1
Fe8 0.335 0.000 0.668 1
Fe9 0.348 0.000 0.011 1
Fe10 0.512 0.500 0.153 1
Fe11 0.525 0.500 0.499 1
Fe12 0.532 0.500 0.837 1
Fe13 0.668 0.000 0.665 1
Fe14 0.673 0.000 0.338 1
Fe15 0.676 0.000 0.011 1
Fe16 0.837 0.500 0.518 1
Fe17 0.850 0.500 0.156 1
Fe18 0.859 0.500 0.831 1
O1 0.081 0.500 0.734 1
O2 0.242 0.000 0.099 1
O3 0.242 0.000 0.435 1
O4 0.249 0.000 0.775 1
O5 0.280 0.500 0.604 1
O6 0.282 0.500 0.268 1
O7 0.408 0.500 0.065 1
O8 0.578 0.000 0.111 1
O9 0.578 0.000 0.432 1
O10 0.579 0.000 0.771 1
O11 0.613 0.500 0.602 1
O12 0.616 0.500 0.943 1
O13 0.745 0.500 0.069 1
O14 0.781 0.000 0.571 1
O15 0.909 0.000 0.763 1
O16 0.916 0.000 0.107 1
O17 0.940 0.500 0.273 1
O18 0.951 0.500 0.934 1
F1 0.072 0.500 0.399 1
F2 0.079 0.500 0.068 1
F3 0.110 0.000 0.563 1
F4 0.113 0.000 0.234 1
F5 0.119 0.000 0.905 1
F6 0.280 0.500 0.936 1
F7 0.411 0.500 0.402 1
F8 0.413 0.500 0.730 1
F9 0.443 0.000 0.897 1
F10 0.447 0.000 0.564 1
F11 0.449 0.000 0.239 1
F12 0.612 0.500 0.271 1
F13 0.743 0.500 0.735 1
F14 0.748 0.500 0.400 1
F15 0.775 0.000 0.240 1
F16 0.784 0.000 0.895 1
F17 0.909 0.000 0.442 1
F18 0.954 0.500 0.598 1
```

[7]
Ba2SrMnO6: simulated X-ray powder pattern (copper Kα), based on a PBE+U-relaxed structure.
Neutral-atom scattering factors, no anomalous dispersion.

Principal peaks in the range 2θ = 10–80°, most intense first:
d 3.043, 29.35 deg, I 100.0; d 1.757, 52.06 deg, I 38.7; d 2.152, 41.99 deg, I 31.9; d 1.521, 60.89 deg, I 19.2; d 1.361, 69.01 deg, I 18.5; d 2.485, 36.15 deg, I 11.9; d 1.242, 76.72 deg, I 6.2; d 4.303, 20.64 deg, I 5.0; d 1.297, 72.91 deg, I 3.4; d 1.924, 47.23 deg, I 3.4; d 1.434, 65.02 deg, I 1.9; d 1.974, 45.96 deg, I 1.4

Crystal structure
```
data_Ba2SrMnO6
_symmetry_space_group_name_H-M 'P 1'
_symmetry_Int_Tables_number 1
_cell_length_a 6.086
_cell_length_b 6.086
_cell_length_c 6.086
_cell_angle_alpha 60.00
_cell_angle_beta 60.00
_cell_angle_gamma 60.00
loop_
_symmetry_equiv_pos_as_xyz
'x,y,z'
loop_
_atom_site_label
_atom_site_fract_x
_atom_site_fract_y
_atom_site_fract_z
_atom_site_occupancy
Ba1 0.250 0.250 0.250 1
Ba2 0.750 0.750 0.750 1
Sr1 0.000 0.000 0.000 1
Mn1 0.500 0.500 0.500 1
O1 0.278 0.278 0.722 1
O2 0.278 0.722 0.278 1
O3 0.278 0.722 0.722 1
O4 0.722 0.278 0.278 1
O5 0.722 0.278 0.722 1
O6 0.722 0.722 0.278 1
```